This entry pairs a crystal structure of Sr2V4Te2H2O17 with its simulated powder diffraction line list. Radiation: Cu Kα. Structure: a crystal structure in Alexandria, relaxed with PBE+U.

Structure:
Cell lengths 11.014, 11.014, 16.535 Å; angles 117.97, 117.97, 27.11 degrees
Fractional coordinates of all 54 atoms:
1 Sr 0.134 0.829 0.617
2 Sr 0.171 0.866 0.883
3 Sr 0.829 0.134 0.117
4 Sr 0.866 0.171 0.383
5 V 0.196 0.450 0.011
6 V 0.245 0.498 0.359
7 V 0.450 0.196 0.511
8 V 0.498 0.245 0.859
9 V 0.502 0.755 0.141
10 V 0.550 0.804 0.489
11 V 0.755 0.502 0.641
12 V 0.804 0.550 0.989
13 Te 0.077 0.258 0.314
14 Te 0.258 0.077 0.814
15 Te 0.742 0.923 0.186
16 Te 0.923 0.742 0.686
17 H 0.320 0.598 0.230
18 H 0.402 0.680 0.270
19 H 0.598 0.320 0.730
20 H 0.680 0.402 0.770
21 O 0.007 0.358 0.740
22 O 0.050 0.102 0.781
23 O 0.062 0.714 0.023
24 O 0.066 0.366 0.927
25 O 0.102 0.050 0.281
26 O 0.175 0.720 0.435
27 O 0.236 0.550 0.822
28 O 0.246 0.474 0.591
29 O 0.253 0.377 0.407
30 O 0.280 0.825 0.065
31 O 0.286 0.938 0.477
32 O 0.358 0.007 0.240
33 O 0.366 0.066 0.427
34 O 0.377 0.253 0.907
35 O 0.450 0.764 0.678
36 O 0.474 0.246 0.091
37 O 0.482 0.518 0.250
38 O 0.518 0.482 0.750
39 O 0.526 0.754 0.909
40 O 0.550 0.236 0.322
41 O 0.623 0.747 0.093
42 O 0.634 0.934 0.573
43 O 0.642 0.993 0.760
44 O 0.714 0.062 0.523
45 O 0.720 0.175 0.935
46 O 0.747 0.623 0.593
47 O 0.754 0.526 0.409
48 O 0.764 0.450 0.178
49 O 0.825 0.280 0.565
50 O 0.898 0.950 0.719
51 O 0.934 0.634 0.073
52 O 0.938 0.286 0.977
53 O 0.950 0.898 0.219
54 O 0.993 0.642 0.260

Main lines, sorted by position (2θ from 15° to 90°):
d (Å), I (rel.)
4.371, 100.0
3.711, 28.3
3.263, 39.2
3.191, 33.2
3.126, 63.8
3.109, 43.8
2.964, 70.7
2.059, 40.9

***

This entry pairs a crystal structure of Sr2V3HO9 with its simulated powder diffraction line list. Radiation: Cu Kα. Structure: a crystal structure in Alexandria, relaxed with PBE+U.

Structure:
Cell lengths 7.685, 6.269, 8.863 Å; angles 90.00, 111.41, 90.00 degrees
Fractional coordinates of all 30 atoms:
1 Sr 0.167 0.250 0.089
2 Sr 0.238 0.750 0.751
3 Sr 0.762 0.250 0.249
4 Sr 0.833 0.750 0.911
5 V 0.057 0.750 0.324
6 V 0.463 0.750 0.159
7 V 0.500 0.000 0.500
8 V 0.500 0.500 0.500
9 V 0.537 0.250 0.841
10 V 0.943 0.250 0.676
11 H 0.215 0.250 0.462
12 H 0.785 0.750 0.538
13 O 0.013 0.028 0.800
14 O 0.013 0.472 0.800
15 O 0.044 0.250 0.533
16 O 0.230 0.750 0.044
17 O 0.307 0.750 0.441
18 O 0.319 0.250 0.419
19 O 0.423 0.250 0.974
20 O 0.481 0.014 0.720
21 O 0.481 0.486 0.720
22 O 0.519 0.514 0.280
23 O 0.519 0.986 0.280
24 O 0.577 0.750 0.026
25 O 0.681 0.750 0.581
26 O 0.693 0.250 0.559
27 O 0.770 0.250 0.956
28 O 0.956 0.750 0.467
29 O 0.987 0.528 0.200
30 O 0.987 0.972 0.200

Main lines, sorted by position (2θ from 15° to 90°):
d (Å), I (rel.)
3.270, 100.0
3.134, 41.6
2.954, 44.2
2.790, 66.9
2.357, 19.1
2.150, 29.0
1.864, 19.7
1.742, 35.7